(1)
Theoretical XRD peak list of InCu3HgSe4 for Cu Kα, from a structure optimized by DFT (GGA-PBE).
Kinematic intensities with the Lorentz-polarization factor, no thermal factor.

Lattice parameters (Å, degrees): 6.043 6.043 6.043 90.00 90.00 90.00
Space group P-43m (No. 215)
One atom of each set of equivalent atoms:
In 0.000 0.000 0.000 x1
Cu 0.000 0.000 0.500 x3
Hg 0.500 0.500 0.500 x1
Se 0.246 0.246 0.246 x4

Main lines, low angle first (2θ = 5–70°):
index, Position (°2θ), I (rel.)
1 1 0, 20.79, 54
1 1 1, 25.53, 68
2 0 0, 29.57, 8
2 1 1, 36.42, 27
2 2 0, 42.30, 100
3 1 0, 47.59, 13
3 1 1, 50.07, 32
3 2 1, 57.03, 15
4 0 0, 61.37, 16
3 3 1, 67.57, 13

=====

(2)
Theoretical XRD peak list of Sr2LaCu2HgO6 for Cu Kα, from a structure optimized by DFT (GGA-PBE).
Kinematic intensities with the Lorentz-polarization factor, no thermal factor.

Lattice parameters (Å, degrees): 3.950 3.950 12.503 90.00 90.00 90.00
Space group P4/mmm (No. 123)
One atom of each set of equivalent atoms:
Sr 0.000 0.000 0.222 x2
La 0.000 0.000 0.500 x1
Cu 0.500 0.500 0.362 x2
Hg 0.500 0.500 0.000 x1
O 0.000 0.500 0.368 x4
O 0.500 0.500 0.166 x2

Main lines, low angle first (2θ = 5–70°):
index, Position (°2θ), I (rel.)
1 0 1, 23.62, 42
1 0 2, 26.70, 20
1 0 3, 31.20, 100
1 1 0, 32.05, 69
1 0 4, 36.66, 12
1 0 5, 42.80, 12
1 1 4, 43.45, 28
2 0 0, 45.95, 36
1 1 6, 54.99, 14
2 1 3, 56.58, 48

=====

(3)
Theoretical XRD peak list of MgCu2SnHgS4 for Cu Kα, from a structure optimized by DFT (GGA-PBE).
Kinematic intensities with the Lorentz-polarization factor, no thermal factor.

Lattice parameters (Å, degrees): 7.903 8.238 12.644 90.00 90.00 90.00
Space group Fmm2 (No. 42)
One atom of each set of equivalent atoms:
Mg 0.000 0.000 0.000 x4
Cu 0.250 0.250 0.001 x8
Sn 0.000 0.000 0.255 x4
Hg 0.000 0.000 0.750 x4
S 0.000 0.240 0.893 x8
S 0.237 0.000 0.599 x8

Main lines, low angle first (2θ = 5–70°):
index, Position (°2θ), I (rel.)
1 1 1, 17.06, 20
0 2 2, 25.81, 100
2 0 2, 26.60, 100
0 0 4, 28.23, 28
2 2 0, 31.37, 38
2 2 4, 42.70, 93
0 4 0, 43.96, 23
4 0 0, 45.93, 20
2 4 2, 52.13, 31
4 2 2, 53.44, 27

=====

(4)
Theoretical XRD peak list of MgCu2SnHgS4 for Cu Kα, from a structure optimized by DFT (GGA-PBE).
Kinematic intensities with the Lorentz-polarization factor, no thermal factor.

Lattice parameters (Å, degrees): 6.013 6.459 10.494 90.00 90.00 90.00
Space group I222 (No. 23)
One atom of each set of equivalent atoms:
Mg 0.000 0.000 0.000 x2
Cu 0.000 0.000 0.257 x4
Sn 0.000 0.500 0.000 x2
Hg 0.000 0.500 0.500 x2
S 0.241 0.218 0.852 x8

Main lines, low angle first (2θ = 5–70°):
index, Position (°2θ), I (rel.)
0 0 2, 16.91, 11
1 1 2, 26.43, 100
0 2 0, 27.62, 14
2 0 0, 29.71, 11
2 2 0, 41.01, 28
0 2 4, 44.49, 20
2 0 4, 45.91, 19
1 3 2, 48.12, 19
3 1 2, 50.77, 16
1 1 6, 56.63, 11

=====

(5)
Theoretical XRD peak list of CuHgO3 for Cu Kα, from a structure optimized by DFT (GGA-PBE).
Kinematic intensities with the Lorentz-polarization factor, no thermal factor.

Lattice parameters (Å, degrees): 3.832 3.832 3.832 90.00 90.00 90.00
Space group Pm-3m (No. 221)
One atom of each set of equivalent atoms:
Cu 0.000 0.000 0.000 x1
Hg 0.500 0.500 0.500 x1
O 0.000 0.000 0.500 x3

Main lines, low angle first (2θ = 5–70°):
index, Position (°2θ), I (rel.)
1 0 0, 23.21, 23
1 1 0, 33.06, 100
1 1 1, 40.79, 19
2 0 0, 47.46, 28
2 1 0, 53.47, 12
2 1 1, 59.05, 39
2 2 0, 69.37, 17

=====

(6)
Theoretical XRD peak list of Sr8Pr4Cu9Hg3O24 for Cu Kα, from a structure optimized by DFT (GGA-PBE).
Kinematic intensities with the Lorentz-polarization factor, no thermal factor.

Lattice parameters (Å, degrees): 15.645 7.825 12.935 90.00 107.58 90.00
Space group C2/m (No. 12)
One atom of each set of equivalent atoms:
Sr 0.066 0.244 0.278 x8
Sr 0.177 0.244 0.722 x8
Pr 0.000 0.251 0.000 x4
Pr 0.250 0.250 0.000 x4
Cu 0.000 0.000 0.500 x2
Cu 0.091 0.500 0.865 x4
Cu 0.092 0.000 0.867 x4
Cu 0.158 0.500 0.136 x4
Cu 0.160 0.000 0.136 x4
Hg 0.000 0.500 0.500 x2
Hg 0.249 0.000 0.500 x4
O 0.032 0.500 0.129 x4
O 0.033 0.000 0.131 x4
O 0.037 0.000 0.649 x4
O 0.041 0.500 0.665 x4
O 0.092 0.249 0.870 x8
O 0.157 0.250 0.129 x8
O 0.208 0.500 0.336 x4
O 0.209 0.000 0.336 x4
O 0.217 0.000 0.869 x4
O 0.217 0.500 0.871 x4

Main lines, low angle first (2θ = 5–70°):
index, Position (°2θ), I (rel.)
0 0 1, 7.17, 16
4 0 0, 23.86, 37
0 2 2, 26.99, 16
4 0 2, 31.57, 100
4 2 -1, 32.37, 71
4 0 3, 37.13, 19
4 2 3, 44.00, 26
0 4 0, 46.43, 38
8 2 1, 57.23, 37
8 4 -2, 67.75, 11

=====

(7)
Theoretical XRD peak list of Cu2SnHgS4 for Cu Kα, from a structure optimized by DFT (GGA-PBE).
Kinematic intensities with the Lorentz-polarization factor, no thermal factor.

Lattice parameters (Å, degrees): 5.618 5.618 11.080 90.00 90.00 90.00
Space group I-42m (No. 121)
One atom of each set of equivalent atoms:
Cu 0.000 0.500 0.250 x4
Sn 0.000 0.000 0.000 x2
Hg 0.000 0.000 0.500 x2
S 0.241 0.241 0.859 x8

Main lines, low angle first (2θ = 5–70°):
index, Position (°2θ), I (rel.)
0 0 2, 16.00, 9
1 1 0, 22.38, 12
1 1 2, 27.63, 100
2 0 0, 31.86, 16
0 0 4, 32.32, 8
2 0 2, 35.84, 10
2 2 0, 45.67, 19
2 0 4, 46.02, 36
3 1 2, 54.22, 30
1 1 6, 54.82, 14

=====

(8)
Theoretical XRD peak list of ScCu3HgSe4 for Cu Kα, from a structure optimized by DFT (GGA-PBE).
Kinematic intensities with the Lorentz-polarization factor, no thermal factor.

Lattice parameters (Å, degrees): 5.945 5.945 5.945 90.00 90.00 90.00
Space group P-43m (No. 215)
One atom of each set of equivalent atoms:
Sc 0.000 0.000 0.000 x1
Cu 0.000 0.000 0.500 x3
Hg 0.500 0.500 0.500 x1
Se 0.243 0.243 0.243 x4

Main lines, low angle first (2θ = 5–70°):
index, Position (°2θ), I (rel.)
1 1 0, 21.13, 32
1 1 1, 25.96, 100
2 1 0, 33.71, 7
2 1 1, 37.04, 16
2 2 0, 43.03, 97
3 1 0, 48.41, 7
3 1 1, 50.94, 46
3 2 1, 58.05, 9
4 0 0, 62.49, 15
3 3 1, 68.83, 18